This entry pairs a crystal structure of KScOsO6 with its computed X-ray diffraction stick pattern. Radiation: Cu Kα X-rays. Structure: a GGA-PBE-relaxed structure.

Peak list (10 most intense, 10° ≤ 2θ ≤ 80°, most intense first)
index  d (Å)  two_theta  I (rel.)
1 0 1  3.659  24.32  100
0 0 1  5.910  14.99  66
1 0 0  4.660  19.05  54
1 1 2  1.989  45.60  39
1 1 1  2.448  36.70  27
1 1 0  2.690  33.31  27
2 1 1  1.688  54.36  20
2 0 1  2.167  41.67  19
2 0 3  1.503  61.70  17
1 0 2  2.496  35.99  14

Structure:
abc: 5.380 5.380 5.910
angles: 90.00 90.00 120.00
Fractional coordinates of all 9 atoms:
K  0.000  0.000  0.000
Sc  0.667  0.333  0.500
Os  0.333  0.667  0.500
O  0.032  0.403  0.316
O  0.032  0.629  0.684
O  0.371  0.403  0.684
O  0.371  0.968  0.316
O  0.597  0.629  0.316
O  0.597  0.968  0.684